Diffraction record for PrSm3Tm7. The PXRD pattern is calculated, not measured: it uses a DFT-relaxed cell (GGA-PBE, Alexandria) and Cu Kα.

Top 6 peaks for 2θ from 10° to 90°, low angle first:
- (1 1 2), 31.63°, d 2.829, rel. 37
- (1 1 -3), 31.79°, d 2.815, rel. 42
- (2 1 0), 31.93°, d 2.803, rel. 100
- (2 1 -2), 32.04°, d 2.794, rel. 72
- (0 2 0), 32.63°, d 2.744, rel. 78
- (0 1 3), 33.08°, d 2.708, rel. 79

Unit cell a=6.9438 b=5.4888 c=9.9365 alpha=90.00 beta=109.99 gamma=90.00
Space group P2/m (No. 10)
Unique sites:
Pr 0.0000 0.0000 0.0000 [1 per cell]
Sm 0.2826 0.5000 0.4981 [2 per cell]
Sm 0.5000 0.0000 0.0000 [1 per cell]
Tm 0.0000 0.0000 0.5000 [1 per cell]
Tm 0.1459 0.5000 0.7885 [2 per cell]
Tm 0.3225 0.5000 0.1409 [2 per cell]
Tm 0.4200 0.0000 0.3308 [2 per cell]